# 1
Theoretical X-ray powder pattern
Compound: BaMgCrF7
Radiation: Cu Kα
Structure: a cell relaxed with PBE+U
Lines closer than 0.1° are merged.

Principal peaks in the range 2θ from 10° to 90°, low angle first:
- 2θ 25.26, I = 100.0, (1 2 -1)
- 2θ 26.47, I = 51.6, (1 1 2)
- 2θ 40.49, I = 31.1, (2 2 -2)
- 2θ 40.93, I = 39.6, (1 4 1)
- 2θ 41.39, I = 24.4, (0 2 4)
- 2θ 52.57, I = 21.1, (3 2 -1)

Atomic structure:
```
data_BaMgCrF7
_cell_length_a 5.629
_cell_length_b 9.957
_cell_length_c 9.720
_cell_angle_alpha 90.00
_cell_angle_beta 93.13
_cell_angle_gamma 90.00
_space_group_name_H-M_alt 'P 1 21/c 1'
_space_group_IT_number 14
loop_
_space_group_symop_operation_xyz
'x,y,z'
'-x,-y,-z'
'-x,y+1/2,-z+1/2'
'x,-y+1/2,z+1/2'
loop_
_atom_site_label
_atom_site_fract_x
_atom_site_fract_y
_atom_site_fract_z
Ba1 0.237 0.177 0.001
Mg1 0.195 0.605 0.811
Cr1 0.306 0.613 0.187
F1 0.028 0.712 0.249
F2 0.114 0.543 0.627
F3 0.131 0.049 0.631
F4 0.241 0.690 0.001
F5 0.388 0.543 0.367
F6 0.389 0.052 0.374
F7 0.472 0.721 0.748
```

---

# 2
Theoretical X-ray powder pattern
Compound: BaNaCr2F9
Radiation: Cu Kα
Structure: a cell relaxed with PBE+U
Lines closer than 0.1° are merged.

Principal peaks in the range 2θ from 10° to 90°, low angle first:
- 2θ 20.86, I = 58.8, (1 1 -2)
- 2θ 24.44, I = 62.5, (0 1 2)
- 2θ 24.89, I = 69.2, (1 3 0)
- 2θ 25.30, I = 57.7, (1 3 -2)
- 2θ 25.79, I = 100.0, (1 4 -1)
- 2θ 32.34, I = 68.4, (2 0 -2)

Atomic structure:
```
data_BaNaCr2F9
_cell_length_a 5.541
_cell_length_b 17.675
_cell_length_c 9.164
_cell_angle_alpha 90.00
_cell_angle_beta 125.67
_cell_angle_gamma 90.00
_space_group_name_H-M_alt 'P 1 21/c 1'
_space_group_IT_number 14
loop_
_space_group_symop_operation_xyz
'x,y,z'
'-x,-y,-z'
'-x,y+1/2,-z+1/2'
'x,-y+1/2,z+1/2'
loop_
_atom_site_label
_atom_site_fract_x
_atom_site_fract_y
_atom_site_fract_z
Ba1 0.156 0.215 0.432
Na1 0.064 0.540 0.811
Cr1 0.310 0.622 0.590
Cr2 0.492 0.080 0.226
F1 0.085 0.076 0.998
F2 0.112 0.583 0.060
F3 0.120 0.708 0.438
F4 0.288 0.665 0.774
F5 0.303 0.164 0.802
F6 0.322 0.568 0.405
F7 0.330 0.082 0.361
F8 0.491 0.687 0.286
F9 0.498 0.532 0.746
```

---

# 3
Theoretical X-ray powder pattern
Compound: BaCrInWO6
Radiation: Cu Kα
Structure: a cell relaxed with PBE+U
Lines closer than 0.1° are merged.

Principal peaks in the range 2θ from 10° to 90°, low angle first:
- 2θ 18.99, I = 18.6, (1 1 1)
- 2θ 31.26, I = 100.0, (2 2 0)
- 2θ 44.79, I = 30.0, (4 0 0)
- 2θ 55.64, I = 39.2, (4 2 2)
- 2θ 65.21, I = 18.2, (4 4 0)
- 2θ 74.09, I = 17.0, (6 2 0)

Atomic structure:
```
data_BaCrInWO6
_cell_length_a 8.093
_cell_length_b 8.093
_cell_length_c 8.093
_cell_angle_alpha 90.00
_cell_angle_beta 90.00
_cell_angle_gamma 90.00
_space_group_name_H-M_alt 'F -4 3 m'
_space_group_IT_number 216
_space_group_name_Hall 'F -4 2 3'
loop_
_atom_site_label
_atom_site_fract_x
_atom_site_fract_y
_atom_site_fract_z
Ba1 0.000 0.000 0.000
Cr1 0.250 0.250 0.750
In1 0.000 0.000 0.500
W1 0.250 0.250 0.250
O1 0.006 0.250 0.250
```